Starting from a crystal structure in the Materials Project, relaxed with GGA-PBE, the X-ray diffraction stick pattern of CaEuYNbO6 was computed for Cu Kα (λ = 1.5418 Å).

Structural model:
```
data_CaEuYNbO6
_chemical_formula_sum 'Ca4 Eu4 Y4 Nb4 O24'
_cell_length_a 8.4048
_cell_length_b 8.4048
_cell_length_c 8.4048
_cell_angle_alpha 90.00
_cell_angle_beta 90.00
_cell_angle_gamma 90.00
_symmetry_space_group_name_H-M 'F -4 3 m'
_symmetry_Int_Tables_number 216
_symmetry_space_group_name_Hall 'F -4 2 3'
loop_
_atom_site_label
_atom_site_type_symbol
_atom_site_fract_x
_atom_site_fract_y
_atom_site_fract_z
_atom_site_occupancy
Ca1 Ca 0.0000 0.0000 0.0000 1
Eu1 Eu 0.0000 0.0000 0.5000 1
Y1 Y 0.2500 0.2500 0.2500 1
Nb1 Nb 0.2500 0.2500 0.7500 1
O1 O 0.0120 0.2500 0.7500 1
```

The 10 most intense peaks (2θ from 10° to 90°), by intensity:
| 2θ/deg | d_spacing | I/Imax |
| --- | --- | --- |
| 30.07 | 2.972 | 100 |
| 53.40 | 1.716 | 39 |
| 43.05 | 2.101 | 34 |
| 18.28 | 4.853 | 21 |
| 86.69 | 1.123 | 21 |
| 62.51 | 1.486 | 21 |
| 70.92 | 1.329 | 17 |
| 35.42 | 2.534 | 13 |
| 78.91 | 1.213 | 7 |
| 47.13 | 1.928 | 6 |

=====

Starting from a crystal structure in the Materials Project, relaxed with GGA-PBE, the X-ray diffraction stick pattern of VPt8 was computed for Cu Kα (λ = 1.5418 Å).

Structural model:
```
data_VPt8
_chemical_formula_sum 'V2 Pt16'
_cell_length_a 8.3948
_cell_length_b 8.3948
_cell_length_c 3.9302
_cell_angle_alpha 90.00
_cell_angle_beta 90.00
_cell_angle_gamma 90.00
_symmetry_space_group_name_H-M 'I 4/m m m'
_symmetry_Int_Tables_number 139
_symmetry_space_group_name_Hall '-I 4 2'
loop_
_atom_site_label
_atom_site_type_symbol
_atom_site_fract_x
_atom_site_fract_y
_atom_site_fract_z
_atom_site_occupancy
V1 V 0.0000 0.0000 0.0000 1
Pt1 Pt 0.0000 0.3279 0.0000 1
Pt2 Pt 0.1605 0.1605 0.5000 1
```

The 10 most intense peaks (2θ from 10° to 90°), by intensity:
| 2θ/deg | d_spacing | I/Imax |
| --- | --- | --- |
| 39.53 | 2.280 | 100 |
| 45.86 | 1.979 | 33 |
| 80.56 | 1.192 | 25 |
| 67.13 | 1.394 | 21 |
| 46.20 | 1.965 | 16 |
| 81.05 | 1.186 | 13 |
| 85.12 | 1.140 | 11 |
| 66.87 | 1.399 | 11 |
| 33.00 | 2.715 | 4 |
| 25.02 | 3.559 | 3 |

=====

Starting from a crystal structure in the Materials Project, relaxed with GGA-PBE, the X-ray diffraction stick pattern of LuU2S3O2 was computed for Cu Kα (λ = 1.5418 Å).

Structural model:
```
data_LuU2S3O2
_chemical_formula_sum 'Lu2 U4 S6 O4'
_cell_length_a 3.7790
_cell_length_b 3.7790
_cell_length_c 20.9824
_cell_angle_alpha 90.00
_cell_angle_beta 90.00
_cell_angle_gamma 90.00
_symmetry_space_group_name_H-M 'I 4/m m m'
_symmetry_Int_Tables_number 139
_symmetry_space_group_name_Hall '-I 4 2'
loop_
_atom_site_label
_atom_site_type_symbol
_atom_site_fract_x
_atom_site_fract_y
_atom_site_fract_z
_atom_site_occupancy
Lu1 Lu 0.0000 0.0000 0.0000 1
U1 U 0.0000 0.0000 0.3145 1
S1 S 0.0000 0.0000 0.1269 1
S2 S 0.0000 0.0000 0.5000 1
O1 O 0.0000 0.5000 0.2500 1
```

The 10 most intense peaks (2θ from 10° to 90°), by intensity:
| 2θ/deg | d_spacing | I/Imax |
| --- | --- | --- |
| 26.81 | 3.325 | 100 |
| 33.54 | 2.672 | 52 |
| 42.58 | 2.123 | 39 |
| 25.47 | 3.497 | 29 |
| 55.98 | 1.643 | 28 |
| 31.87 | 2.808 | 24 |
| 48.16 | 1.890 | 22 |
| 38.33 | 2.348 | 16 |
| 45.73 | 1.984 | 15 |
| 55.26 | 1.662 | 15 |

=====

Starting from a crystal structure in the Materials Project, relaxed with GGA-PBE, the X-ray diffraction stick pattern of Ca7Mg2N6 was computed for Cu Kα (λ = 1.5418 Å).

Structural model:
```
data_Ca7Mg2N6
_chemical_formula_sum 'Ca14 Mg4 N12'
_cell_length_a 6.1423
_cell_length_b 12.6604
_cell_length_c 6.4233
_cell_angle_alpha 90.00
_cell_angle_beta 94.58
_cell_angle_gamma 90.00
_symmetry_space_group_name_H-M 'C 1 2/m 1'
_symmetry_Int_Tables_number 12
loop_
_symmetry_equiv_pos_as_xyz
'x,y,z'
'-x,-y,-z'
'-x,y,-z'
'x,-y,z'
'x+1/2,y+1/2,z'
'-x+1/2,-y+1/2,-z'
'-x+1/2,y+1/2,-z'
'x+1/2,-y+1/2,z'
loop_
_atom_site_label
_atom_site_type_symbol
_atom_site_fract_x
_atom_site_fract_y
_atom_site_fract_z
_atom_site_occupancy
Ca1 Ca 0.0000 0.0000 0.0000 1
Ca2 Ca 0.0000 0.1225 0.5000 1
Ca3 Ca 0.1502 0.3275 0.8251 1
Mg1 Mg 0.1210 0.5000 0.3269 1
N1 N 0.2399 0.3551 0.1963 1
N2 N 0.2445 0.5000 0.6592 1
```

The 10 most intense peaks (2θ from 10° to 90°), by intensity:
| 2θ/deg | d_spacing | I/Imax |
| --- | --- | --- |
| 29.81 | 2.998 | 100 |
| 31.31 | 2.857 | 79 |
| 34.49 | 2.600 | 42 |
| 42.45 | 2.129 | 42 |
| 42.68 | 2.119 | 38 |
| 51.66 | 1.769 | 36 |
| 42.86 | 2.110 | 28 |
| 44.81 | 2.022 | 25 |
| 44.99 | 2.015 | 24 |
| 40.65 | 2.220 | 20 |

=====

Starting from a crystal structure in the Materials Project, relaxed with GGA-PBE, the X-ray diffraction stick pattern of NaRu3 was computed for Cu Kα (λ = 1.5418 Å).

Structural model:
```
data_NaRu3
_chemical_formula_sum 'Na2 Ru6'
_cell_length_a 3.8733
_cell_length_b 3.8733
_cell_length_c 7.8602
_cell_angle_alpha 90.00
_cell_angle_beta 90.00
_cell_angle_gamma 90.00
_symmetry_space_group_name_H-M 'I 4/m m m'
_symmetry_Int_Tables_number 139
_symmetry_space_group_name_Hall '-I 4 2'
loop_
_atom_site_label
_atom_site_type_symbol
_atom_site_fract_x
_atom_site_fract_y
_atom_site_fract_z
_atom_site_occupancy
Na1 Na 0.0000 0.0000 0.0000 1
Ru1 Ru 0.0000 0.0000 0.5000 1
Ru2 Ru 0.0000 0.5000 0.2500 1
```

The 10 most intense peaks (2θ from 10° to 90°), by intensity:
| 2θ/deg | d_spacing | I/Imax |
| --- | --- | --- |
| 40.13 | 2.247 | 100 |
| 46.92 | 1.937 | 32 |
| 82.49 | 1.169 | 23 |
| 67.96 | 1.379 | 20 |
| 25.64 | 3.474 | 19 |
| 46.20 | 1.965 | 17 |
| 81.43 | 1.182 | 12 |
| 86.66 | 1.124 | 10 |
| 68.52 | 1.369 | 10 |
| 22.62 | 3.930 | 6 |

=====

Starting from a crystal structure in the Materials Project, relaxed with GGA-PBE, the X-ray diffraction stick pattern of Al7CoCu2 was computed for Cu Kα (λ = 1.5418 Å).

Structural model:
```
data_Al7CoCu2
_chemical_formula_sum 'Al28 Co4 Cu8'
_cell_length_a 6.3097
_cell_length_b 6.3097
_cell_length_c 14.7395
_cell_angle_alpha 90.00
_cell_angle_beta 90.00
_cell_angle_gamma 90.00
_symmetry_space_group_name_H-M 'P 4/m n c'
_symmetry_Int_Tables_number 128
_symmetry_space_group_name_Hall '-P 4 2n'
loop_
_atom_site_label
_atom_site_type_symbol
_atom_site_fract_x
_atom_site_fract_y
_atom_site_fract_z
_atom_site_occupancy
Al1 Al 0.0000 0.0000 0.1322 1
Al2 Al 0.0858 0.2953 0.4003 1
Al3 Al 0.1549 0.6549 0.2500 1
Co1 Co 0.0000 0.0000 0.2975 1
Cu1 Cu 0.0919 0.7290 0.0000 1
```

The 10 most intense peaks (2θ from 10° to 90°), by intensity:
| 2θ/deg | d_spacing | I/Imax |
| --- | --- | --- |
| 40.25 | 2.240 | 100 |
| 44.44 | 2.038 | 93 |
| 45.44 | 1.996 | 66 |
| 45.90 | 1.977 | 65 |
| 22.94 | 3.877 | 61 |
| 12.01 | 7.370 | 34 |
| 23.31 | 3.817 | 29 |
| 42.33 | 2.135 | 27 |
| 30.83 | 2.900 | 25 |
| 83.29 | 1.160 | 23 |

=====

Starting from a crystal structure in the Materials Project, relaxed with GGA-PBE, the X-ray diffraction stick pattern of MnSbAu was computed for Cu Kα (λ = 1.5418 Å).

Structural model:
```
data_MnSbAu
_chemical_formula_sum 'Mn4 Sb4 Au4'
_cell_length_a 6.4603
_cell_length_b 6.4603
_cell_length_c 6.4603
_cell_angle_alpha 90.00
_cell_angle_beta 90.00
_cell_angle_gamma 90.00
_symmetry_space_group_name_H-M 'F -4 3 m'
_symmetry_Int_Tables_number 216
_symmetry_space_group_name_Hall 'F -4 2 3'
loop_
_atom_site_label
_atom_site_type_symbol
_atom_site_fract_x
_atom_site_fract_y
_atom_site_fract_z
_atom_site_occupancy
Mn1 Mn 0.0000 0.0000 0.0000 1
Sb1 Sb 0.0000 0.0000 0.5000 1
Au1 Au 0.2500 0.2500 0.2500 1
```

The 9 most intense peaks (2θ from 10° to 90°), by intensity:
| 2θ/deg | d_spacing | I/Imax |
| --- | --- | --- |
| 39.45 | 2.284 | 100 |
| 23.86 | 3.730 | 75 |
| 46.63 | 1.948 | 39 |
| 71.55 | 1.319 | 34 |
| 57.02 | 1.615 | 17 |
| 62.69 | 1.482 | 16 |
| 89.82 | 1.092 | 13 |
| 76.64 | 1.243 | 12 |
| 84.92 | 1.142 | 11 |